Gd2MgMo2Cl2O8: calculated powder X-ray diffraction pattern (Cu Kα (λ = 1.5418 Å)), based on a PBE+U-relaxed structure.

Atomic structure:
```
data_Gd2MgMo2Cl2O8
_space_group_name_H-M_alt 'C 1 2 1'
_space_group_IT_number 5
_space_group_name_Hall 'C 2y'
_cell_length_a 10.886
_cell_length_b 7.230
_cell_length_c 7.005
_cell_angle_alpha 90.00
_cell_angle_beta 109.82
_cell_angle_gamma 90.00
loop_
_atom_site_label
_atom_site_type_symbol
_atom_site_fract_x
_atom_site_fract_y
_atom_site_fract_z
_atom_site_occupancy
Gd1 Gd 0.236 0.000 0.109 1
Mg1 Mg 0.000 0.692 0.500 1
Mo1 Mo 0.141 0.510 0.266 1
Cl1 Cl 0.002 0.953 0.251 1
O1 O 0.038 0.520 0.774 1
O2 O 0.181 0.310 0.134 1
O3 O 0.186 0.577 0.539 1
O4 O 0.223 0.685 0.153 1
```

The 10 most intense peaks (5 to 70 degrees two-theta), sorted by position:
hkl  2theta  I (rel.)
0 0 1  13.4  56
2 0 0  17.3  63
0 2 0  24.6  100
2 0 1  25.4  75
3 1 -1  27.9  54
1 1 -2  28.3  62
3 1 -2  33.1  66
2 2 1  35.7  39
5 1 -1  43.4  36
1 3 -2  45.7  33

***

Gd2MgMo2Cl2O8: calculated powder X-ray diffraction pattern (Cu Kα (λ = 1.5418 Å)), based on a PBE+U-relaxed structure.

Atomic structure:
```
data_Gd2MgMo2Cl2O8
_space_group_name_H-M_alt 'C 1 2 1'
_space_group_IT_number 5
_space_group_name_Hall 'C 2y'
_cell_length_a 11.566
_cell_length_b 6.904
_cell_length_c 7.232
_cell_angle_alpha 90.00
_cell_angle_beta 106.04
_cell_angle_gamma 90.00
loop_
_atom_site_label
_atom_site_type_symbol
_atom_site_fract_x
_atom_site_fract_y
_atom_site_fract_z
_atom_site_occupancy
Gd1 Gd 0.221 0.000 0.372 1
Mg1 Mg 0.000 0.267 0.500 1
Mo1 Mo 0.147 0.988 0.790 1
Cl1 Cl 0.060 0.516 0.302 1
O1 O 0.020 0.042 0.303 1
O2 O 0.179 0.210 0.642 1
O3 O 0.189 0.800 0.638 1
O4 O 0.200 0.012 0.047 1
```

The 10 most intense peaks (5 to 70 degrees two-theta), sorted by position:
hkl  2theta  I (rel.)
0 0 1  12.7  96
1 1 0  15.1  56
2 0 0  15.9  92
0 2 0  25.8  100
3 1 -1  27.2  38
3 1 0  27.3  88
1 1 -2  27.9  86
3 1 -2  32.7  53
3 1 1  33.0  45
2 0 3  46.4  35

***

Gd3WCl3O6: calculated powder X-ray diffraction pattern (Cu Kα (λ = 1.5418 Å)), based on a PBE+U-relaxed structure.

Atomic structure:
```
data_Gd3WCl3O6
_space_group_name_H-M_alt 'P 63/m'
_space_group_IT_number 176
_space_group_name_Hall '-P 6c'
_cell_length_a 9.2205
_cell_length_b 9.2205
_cell_length_c 5.3334
_cell_angle_alpha 90.00
_cell_angle_beta 90.00
_cell_angle_gamma 120.00
loop_
_atom_site_label
_atom_site_type_symbol
_atom_site_fract_x
_atom_site_fract_y
_atom_site_fract_z
_atom_site_occupancy
Gd1 Gd 0.0903 0.6853 0.2500 1
W1 W 0.3333 0.6667 0.7500 1
Cl1 Cl 0.0490 0.8088 0.7500 1
O1 O 0.1566 0.5218 0.5141 1
```

The 10 most intense peaks (5 to 70 degrees two-theta), sorted by position:
hkl  2theta  I (rel.)
1 0 0  11.1  54
1 1 1  25.5  61
2 0 1  27.9  59
1 2 0  29.6  38
0 0 2  33.6  49
1 2 1  34.1  100
1 2 2  45.4  49
3 0 2  48.3  20
3 2 1  52.8  35
1 2 3  60.4  20

***

KMnH4Cl3O2: calculated powder X-ray diffraction pattern (Cu Kα (λ = 1.5418 Å)), based on a PBE+U-relaxed structure.

Atomic structure:
```
data_KMnH4Cl3O2
_space_group_name_H-M_alt 'P -1'
_space_group_IT_number 2
_space_group_name_Hall '-P 1'
_cell_length_a 6.521
_cell_length_b 6.974
_cell_length_c 9.289
_cell_angle_alpha 69.46
_cell_angle_beta 88.78
_cell_angle_gamma 67.42
loop_
_atom_site_label
_atom_site_type_symbol
_atom_site_fract_x
_atom_site_fract_y
_atom_site_fract_z
_atom_site_occupancy
K1 K 0.058 0.042 0.196 1
Mn1 Mn 0.374 0.624 0.326 1
H1 H 0.103 0.782 0.506 1
H2 H 0.347 0.763 0.583 1
H3 H 0.380 0.387 0.809 1
H4 H 0.462 0.364 0.058 1
Cl1 Cl 0.003 0.496 0.831 1
Cl2 Cl 0.247 0.209 0.498 1
Cl3 Cl 0.461 0.921 0.812 1
O1 O 0.262 0.704 0.489 1
O2 O 0.470 0.572 0.168 1
```

The 10 most intense peaks (5 to 70 degrees two-theta), sorted by position:
hkl  2theta  I (rel.)
1 0 -1  16.9  76
1 2 1  25.9  69
0 2 2  29.4  55
2 1 -1  30.0  63
0 0 3  31.1  52
2 2 1  32.1  45
2 2 0  32.8  99
0 2 -1  35.2  100
1 -2 0  38.8  48
2 0 2  38.9  67

***

K2MnH4Cl4O2: calculated powder X-ray diffraction pattern (Cu Kα (λ = 1.5418 Å)), based on a PBE+U-relaxed structure.

Atomic structure:
```
data_K2MnH4Cl4O2
_space_group_name_H-M_alt 'I -4 2 m'
_space_group_IT_number 121
_space_group_name_Hall 'I -4 2'
_cell_length_a 7.447
_cell_length_b 7.447
_cell_length_c 8.318
_cell_angle_alpha 90.00
_cell_angle_beta 90.00
_cell_angle_gamma 90.00
loop_
_atom_site_label
_atom_site_type_symbol
_atom_site_fract_x
_atom_site_fract_y
_atom_site_fract_z
_atom_site_occupancy
K1 K 0.000 0.500 0.250 1
Mn1 Mn 0.000 0.000 0.000 1
H1 H 0.075 0.075 0.663 1
Cl1 Cl 0.244 0.244 0.008 1
O1 O 0.000 0.000 0.266 1
```

The 10 most intense peaks (5 to 70 degrees two-theta), sorted by position:
hkl  2theta  I (rel.)
1 0 1  16.0  42
1 1 2  27.3  39
2 0 2  32.3  96
2 2 0  34.1  100
0 0 4  43.5  22
3 1 2  44.2  20
4 0 0  48.9  30
2 2 4  56.4  36
4 2 2  59.8  23
4 0 4  67.5  20

***

KMnH4Cl3O2: calculated powder X-ray diffraction pattern (Cu Kα (λ = 1.5418 Å)), based on a PBE+U-relaxed structure.

Atomic structure:
```
data_KMnH4Cl3O2
_space_group_name_H-M_alt 'P -1'
_space_group_IT_number 2
_space_group_name_Hall '-P 1'
_cell_length_a 6.521
_cell_length_b 6.974
_cell_length_c 9.289
_cell_angle_alpha 69.46
_cell_angle_beta 88.78
_cell_angle_gamma 67.42
loop_
_atom_site_label
_atom_site_type_symbol
_atom_site_fract_x
_atom_site_fract_y
_atom_site_fract_z
_atom_site_occupancy
K1 K 0.058 0.346 0.196 1
Mn1 Mn 0.374 0.798 0.326 1
H1 H 0.103 0.777 0.506 1
H2 H 0.347 0.680 0.583 1
H3 H 0.380 0.079 0.809 1
H4 H 0.462 0.806 0.058 1
Cl1 Cl 0.003 0.165 0.831 1
Cl2 Cl 0.247 0.211 0.498 1
Cl3 Cl 0.461 0.609 0.812 1
O1 O 0.262 0.715 0.489 1
O2 O 0.470 0.904 0.168 1
```

The 10 most intense peaks (5 to 70 degrees two-theta), sorted by position:
hkl  2theta  I (rel.)
0 0 1  10.3  19
1 0 -1  16.9  37
0 0 2  20.6  19
2 1 0  27.5  30
0 2 1  27.7  100
0 2 0  29.9  27
0 0 3  31.1  25
2 0 1  33.0  20
2 2 2  34.8  35
2 0 2  38.9  33

***

KMnH4Cl3O2: calculated powder X-ray diffraction pattern (Cu Kα (λ = 1.5418 Å)), based on a PBE+U-relaxed structure.

Atomic structure:
```
data_KMnH4Cl3O2
_space_group_name_H-M_alt 'P 1'
_space_group_IT_number 1
_space_group_name_Hall 'P 1'
_cell_length_a 7.608
_cell_length_b 9.403
_cell_length_c 11.284
_cell_angle_alpha 75.97
_cell_angle_beta 83.96
_cell_angle_gamma 70.51
loop_
_atom_site_label
_atom_site_type_symbol
_atom_site_fract_x
_atom_site_fract_y
_atom_site_fract_z
_atom_site_occupancy
K1 K 0.000 0.000 0.000 1
K2 K 0.066 0.391 0.225 1
K3 K 0.500 0.000 0.500 1
K4 K 0.567 0.391 0.725 1
Mn1 Mn 0.077 0.522 0.535 1
Mn2 Mn 0.489 0.870 0.190 1
Mn3 Mn 0.577 0.522 0.034 1
Mn4 Mn 0.989 0.870 0.691 1
H1 H 0.072 0.379 0.784 1
H2 H 0.119 0.691 0.296 1
H3 H 0.154 0.612 0.894 1
H4 H 0.178 0.249 0.714 1
H5 H 0.388 0.143 0.011 1
H6 H 0.412 0.779 0.831 1
H7 H 0.448 0.701 0.429 1
H8 H 0.494 0.012 0.941 1
H9 H 0.572 0.379 0.284 1
H10 H 0.619 0.691 0.796 1
H11 H 0.654 0.612 0.394 1
H12 H 0.678 0.249 0.214 1
H13 H 0.889 0.143 0.511 1
H14 H 0.912 0.779 0.331 1
H15 H 0.948 0.701 0.929 1
H16 H 0.994 0.012 0.441 1
Cl1 Cl 0.205 0.031 0.288 1
Cl2 Cl 0.211 0.002 0.734 1
Cl3 Cl 0.262 0.687 0.588 1
Cl4 Cl 0.304 0.704 0.138 1
Cl5 Cl 0.355 0.389 0.991 1
Cl6 Cl 0.361 0.360 0.437 1
Cl7 Cl 0.706 0.031 0.788 1
Cl8 Cl 0.711 0.002 0.234 1
Cl9 Cl 0.762 0.687 0.087 1
Cl10 Cl 0.805 0.704 0.638 1
Cl11 Cl 0.855 0.389 0.491 1
Cl12 Cl 0.861 0.360 0.937 1
O1 O 0.013 0.680 0.353 1
O2 O 0.053 0.711 0.872 1
O3 O 0.160 0.358 0.714 1
O4 O 0.406 0.033 0.011 1
O5 O 0.513 0.680 0.853 1
O6 O 0.553 0.712 0.372 1
O7 O 0.660 0.358 0.214 1
O8 O 0.906 0.033 0.511 1
```

The 10 most intense peaks (5 to 70 degrees two-theta), sorted by position:
hkl  2theta  I (rel.)
1 0 1  14.6  45
1 1 -1  16.9  67
0 1 -2  21.0  55
2 2 2  28.5  57
-1 1 3  29.1  52
1 -1 3  32.3  44
2 3 2  33.4  100
-2 2 2  39.3  52
0 2 -4  42.9  53
4 1 0  48.4  50

***

MnH12N2Cl4O2: calculated powder X-ray diffraction pattern (Cu Kα (λ = 1.5418 Å)), based on a PBE+U-relaxed structure.

Atomic structure:
```
data_MnH12N2Cl4O2
_space_group_name_H-M_alt 'P 1'
_space_group_IT_number 1
_space_group_name_Hall 'P 1'
_cell_length_a 7.554
_cell_length_b 7.558
_cell_length_c 8.443
_cell_angle_alpha 90.02
_cell_angle_beta 90.03
_cell_angle_gamma 90.00
loop_
_atom_site_label
_atom_site_type_symbol
_atom_site_fract_x
_atom_site_fract_y
_atom_site_fract_z
_atom_site_occupancy
Mn1 Mn 0.000 0.000 0.000 1
Mn2 Mn 0.499 0.498 0.499 1
H1 H 0.069 0.412 0.821 1
H2 H 0.069 0.586 0.178 1
H3 H 0.073 0.073 0.332 1
H4 H 0.073 0.925 0.668 1
H5 H 0.085 0.570 0.678 1
H6 H 0.086 0.428 0.320 1
H7 H 0.411 0.069 0.821 1
H8 H 0.412 0.927 0.179 1
H9 H 0.425 0.425 0.831 1
H10 H 0.425 0.572 0.167 1
H11 H 0.428 0.085 0.321 1
H12 H 0.428 0.911 0.679 1
H13 H 0.570 0.085 0.678 1
H14 H 0.570 0.911 0.321 1
H15 H 0.573 0.424 0.167 1
H16 H 0.573 0.573 0.832 1
H17 H 0.586 0.927 0.821 1
H18 H 0.587 0.069 0.179 1
H19 H 0.911 0.428 0.679 1
H20 H 0.912 0.570 0.321 1
H21 H 0.925 0.073 0.668 1
H22 H 0.925 0.925 0.332 1
H23 H 0.927 0.412 0.178 1
H24 H 0.927 0.587 0.821 1
N1 N 0.499 0.998 0.250 1
N2 N 0.499 0.998 0.750 1
N3 N 0.998 0.499 0.250 1
N4 N 0.998 0.499 0.750 1
Cl1 Cl 0.240 0.241 0.978 1
Cl2 Cl 0.240 0.759 0.022 1
Cl3 Cl 0.259 0.258 0.477 1
Cl4 Cl 0.259 0.739 0.522 1
Cl5 Cl 0.740 0.257 0.522 1
Cl6 Cl 0.740 0.739 0.478 1
Cl7 Cl 0.759 0.240 0.022 1
Cl8 Cl 0.759 0.760 0.978 1
O1 O 0.000 0.000 0.737 1
O2 O 0.500 0.498 0.762 1
O3 O 0.500 0.499 0.236 1
O4 O 0.999 0.999 0.263 1
```

The 10 most intense peaks (5 to 70 degrees two-theta), sorted by position:
hkl  2theta  I (rel.)
1 0 -1  15.7  67
1 1 0  16.6  27
0 0 2  21.0  36
1 1 -2  26.9  26
2 0 2  31.8  74
2 2 0  33.5  100
2 2 2  39.9  28
0 0 4  42.8  18
4 0 0  48.2  28
2 2 4  55.5  29